For Mg2TlCd6, a DFT-relaxed cell (PBE, Alexandria) gives the calculated powder diffractogram in this record (Cu Kα, 1.54184 Å).
Intensities are scaled so that the largest is 100.

Most intense lines, 10° ≤ 2θ ≤ 90°, low angle first:
(0 1 1), 2θ 11.84, I 51
(0 2 2), 2θ 23.85, I 17
(1 1 2), 2θ 31.26, I 70
(1 0 3), 2θ 32.38, I 22
(1 2 1), 2θ 34.68, I 59
(0 0 6), 2θ 35.88, I 48
(0 3 3), 2θ 36.12, I 100
(1 1 4), 2θ 37.67, I 36
(1 2 5), 2θ 45.91, I 31
(2 0 0), 2θ 55.40, I 15
(0 3 9), 2θ 64.64, I 15
(2 3 3), 2θ 67.93, I 35

Structural model:
abc: 3.317 8.597 15.016
angles: 90.00 90.00 90.00
Space group Immm (No. 71)
Inequivalent atoms, fractional coordinates:
Mg 0.000 0.000 0.147 x4
Tl 0.000 0.500 0.000 x2
Cd 0.000 0.175 0.324 x8
Cd 0.000 0.331 0.500 x4